Starting from a PBE-relaxed structure, the powder diffraction line list of NaTl4Bi4 was calculated for a wavelength of 1.5418 Å.
Peak positions follow from Bragg's law for the DFT cell and can differ from measured ones.

Peak list (12 most intense, 10 to 80 degrees two-theta, by angle)
Position (°2θ)	Rel. int.
11.73	7.7
19.81	3.8
25.96	3.5
30.98	100.0
35.69	34.5
36.39	16.5
51.36	12.4
51.89	24.2
61.20	29.4
62.14	14.3
64.58	12.6
75.60	4.0

Structural model:
Lattice parameters (Å, degrees): 7.941 7.941 7.941 95.55 95.55 143.77
Fractional coordinates of all 9 atoms:
Na1 0.000 0.000 0.000
Tl1 0.334 0.334 0.668
Tl2 0.334 0.666 0.000
Tl3 0.666 0.334 0.000
Tl4 0.666 0.666 0.332
Bi1 0.000 0.340 0.340
Bi2 0.000 0.660 0.660
Bi3 0.340 0.000 0.340
Bi4 0.660 0.000 0.660

=====

Starting from a PBE-relaxed structure, the powder diffraction line list of CsAlTe3 was calculated for a wavelength of 1.5418 Å.
Peak positions follow from Bragg's law for the DFT cell and can differ from measured ones.

Peak list (12 most intense, 10 to 80 degrees two-theta, by angle)
Position (°2θ)	Rel. int.
19.35	15.3
24.70	25.3
25.26	72.0
25.69	100.0
26.34	16.0
28.06	83.7
30.44	32.0
43.69	15.0
44.35	34.0
44.57	14.3
48.50	14.0
50.64	21.1

Structural model:
Lattice parameters (Å, degrees): 8.382 14.172 7.426 90.00 103.91 90.00
Fractional coordinates of all 20 atoms:
Cs1 0.248 0.078 0.215
Cs2 0.248 0.422 0.715
Cs3 0.752 0.578 0.285
Cs4 0.752 0.922 0.785
Al1 0.321 0.728 0.336
Al2 0.321 0.772 0.836
Al3 0.679 0.228 0.164
Al4 0.679 0.272 0.664
Te1 0.050 0.679 0.847
Te2 0.050 0.821 0.347
Te3 0.216 0.572 0.151
Te4 0.216 0.928 0.651
Te5 0.497 0.173 0.841
Te6 0.497 0.327 0.341
Te7 0.503 0.673 0.659
Te8 0.503 0.827 0.159
Te9 0.784 0.072 0.349
Te10 0.784 0.428 0.849
Te11 0.950 0.179 0.653
Te12 0.950 0.321 0.153

=====

Starting from a PBE-relaxed structure, the powder diffraction line list of HfTi2Zn2Cu2 was calculated for a wavelength of 1.5418 Å.
Peak positions follow from Bragg's law for the DFT cell and can differ from measured ones.

Peak list (12 most intense, 10 to 80 degrees two-theta, by angle)
Position (°2θ)	Rel. int.
23.14	31.7
24.41	17.6
28.45	13.4
36.42	15.8
36.55	24.5
39.19	88.5
40.16	100.0
42.58	44.0
44.09	35.1
51.39	16.0
62.96	23.1
76.29	13.9

Structural model:
Lattice parameters (Å, degrees): 9.064 4.247 5.655 90.00 93.70 90.00
Fractional coordinates of all 14 atoms:
Hf1 0.000 0.000 0.000
Hf2 0.500 0.500 0.000
Ti1 0.105 0.500 0.693
Ti2 0.395 0.000 0.307
Ti3 0.605 0.000 0.693
Ti4 0.895 0.500 0.307
Zn1 0.196 0.500 0.184
Zn2 0.304 0.000 0.816
Zn3 0.696 0.000 0.184
Zn4 0.804 0.500 0.816
Cu1 0.126 0.000 0.442
Cu2 0.374 0.500 0.558
Cu3 0.626 0.500 0.442
Cu4 0.874 0.000 0.558

=====

Starting from a PBE-relaxed structure, the powder diffraction line list of La12Er3Cd was calculated for a wavelength of 1.5418 Å.
Peak positions follow from Bragg's law for the DFT cell and can differ from measured ones.

Peak list (10 most intense, 10 to 80 degrees two-theta, by angle)
Position (°2θ)	Rel. int.
29.93	100.0
34.54	17.0
34.77	33.6
49.82	24.1
49.99	12.0
59.06	14.3
59.36	28.5
62.18	12.3
72.85	1.9
73.38	3.8

Structural model:
Lattice parameters (Å, degrees): 5.161 5.161 20.773 90.00 90.00 90.00
Fractional coordinates of all 16 atoms:
La1 0.000 0.000 0.000
La2 0.000 0.000 0.248
La3 0.000 0.000 0.500
La4 0.000 0.000 0.752
La5 0.000 0.500 0.123
La6 0.000 0.500 0.374
La7 0.000 0.500 0.626
La8 0.000 0.500 0.877
La9 0.500 0.000 0.123
La10 0.500 0.000 0.374
La11 0.500 0.000 0.626
La12 0.500 0.000 0.877
Er1 0.500 0.500 0.248
Er2 0.500 0.500 0.500
Er3 0.500 0.500 0.752
Cd1 0.500 0.500 0.000

=====

Q: Which formula does entry 2 have?
A: CsAlTe3